This entry pairs a crystal structure of La2NdTc2C4 with its simulated powder XRD pattern. Radiation: Cu Kα (weighted mean of Kα1 and Kα2). Structure: a cell relaxed with PBE.

Top 12 peaks for 10 to 90 degrees two-theta, by angle:
- (1 1 0), d 3.496, I = 31
- (4 0 -1), d 3.457, I = 36
- (0 0 2), d 2.933, I = 61
- (3 1 -1), d 2.753, I = 100
- (4 0 1), d 2.732, I = 29
- (3 1 1), d 2.428, I = 81
- (6 0 0), d 2.360, I = 20
- (1 1 -2), d 2.322, I = 20
- (0 2 0), d 1.804, I = 21
- (7 1 0), d 1.765, I = 19
- (3 1 -3), d 1.750, I = 18
- (3 1 3), d 1.508, I = 19

Structural model:
Lattice parameters (Å, degrees): 14.6711 3.6073 6.0767 90.00 105.14 90.00
Space group C2/m (No. 12)
Inequivalent atoms, fractional coordinates:
La  0.1396  0.0000  0.0358 [4 per cell]
Nd  0.0000  0.0000  0.5000 [2 per cell]
Tc  0.1838  0.5000  0.5175 [4 per cell]
C  0.0694  0.5000  0.2833 [4 per cell]
C  0.2208  0.0000  0.6905 [4 per cell]

---

This entry pairs a crystal structure of Rb2TmGaTe4 with its simulated powder XRD pattern. Radiation: Cu Kα (weighted mean of Kα1 and Kα2). Structure: a cell relaxed with PBE.

Top 12 peaks for 10 to 90 degrees two-theta, by angle:
- (1 1 0), d 6.397, I = 24
- (2 1 1), d 3.547, I = 100
- (2 2 0), d 3.198, I = 42
- (2 0 2), d 2.858, I = 87
- (3 1 2), d 2.260, I = 20
- (4 1 1), d 2.102, I = 41
- (4 2 0), d 2.023, I = 20
- (4 0 2), d 1.928, I = 26
- (0 0 4), d 1.845, I = 17
- (5 2 1), d 1.638, I = 19
- (2 2 4), d 1.598, I = 16
- (6 2 2), d 1.334, I = 15

Structural model:
Lattice parameters (Å, degrees): 9.0462 9.0462 7.3759 90.00 90.00 90.00
Space group I-42m (No. 121)
Inequivalent atoms, fractional coordinates:
Rb  0.0000  0.5000  0.0000 [4 per cell]
Tm  0.0000  0.0000  0.0000 [2 per cell]
Ga  0.0000  0.0000  0.5000 [2 per cell]
Te  0.1666  0.1666  0.2751 [8 per cell]

---

This entry pairs a crystal structure of NaAg4F8 with its simulated powder XRD pattern. Radiation: Cu Kα (weighted mean of Kα1 and Kα2). Structure: a cell relaxed with PBE.

Top 12 peaks for 10 to 90 degrees two-theta, by angle:
- (0 0 3), d 5.217, I = 100
- (0 2 1), d 3.035, I = 59
- (2 0 2), d 2.877, I = 31
- (0 2 4), d 2.427, I = 71
- (2 0 5), d 2.200, I = 18
- (0 2 7), d 1.812, I = 20
- (2 2 0), d 1.786, I = 26
- (2 2 3), d 1.690, I = 26
- (2 0 8), d 1.653, I = 18
- (2 2 6), d 1.474, I = 10
- (4 0 4), d 1.438, I = 11
- (2 4 4), d 1.120, I = 9

Structural model:
Lattice parameters (Å, degrees): 7.1443 7.1443 15.6511 90.00 90.00 120.00
Space group R-3m (No. 166, hexagonal axes)
Inequivalent atoms, fractional coordinates:
Na  0.0000  0.0000  0.0000 [3 per cell]
Ag  0.0000  0.0000  0.5000 [3 per cell]
Ag  0.0000  0.5000  0.5000 [9 per cell]
F  0.0000  0.0000  0.2292 [6 per cell]
F  0.0305  0.5153  0.7637 [18 per cell]

---

This entry pairs a crystal structure of KCaHgF6 with its simulated powder XRD pattern. Radiation: Cu Kα (weighted mean of Kα1 and Kα2). Structure: a cell relaxed with PBE.

Top 12 peaks for 10 to 90 degrees two-theta, by angle:
- (1 0 1), d 6.542, I = 100
- (0 0 2), d 5.763, I = 44
- (1 2 1), d 3.539, I = 86
- (1 0 3), d 3.459, I = 26
- (0 2 2), d 3.398, I = 30
- (2 0 2), d 3.271, I = 44
- (1 2 3), d 2.672, I = 24
- (3 0 1), d 2.582, I = 16
- (3 2 1), d 2.200, I = 16
- (2 2 4), d 2.040, I = 29
- (3 2 3), d 1.936, I = 14
- (2 4 2), d 1.769, I = 15

Structural model:
Lattice parameters (Å, degrees): 7.9456 8.4142 11.5260 90.00 90.00 90.00
Space group Imma (No. 74)
Inequivalent atoms, fractional coordinates:
K  0.0000  0.2500  0.0579 [4 per cell]
Ca  0.2500  0.2500  0.7500 [4 per cell]
Hg  0.0000  0.0000  0.5000 [4 per cell]
F  0.0000  0.2500  0.4333 [4 per cell]
F  0.0000  0.2500  0.8329 [4 per cell]
F  0.2081  0.0510  0.6183 [16 per cell]

---

This entry pairs a crystal structure of RbPm2Ru with its simulated powder XRD pattern. Radiation: Cu Kα (weighted mean of Kα1 and Kα2). Structure: a cell relaxed with PBE.

Top 12 peaks for 10 to 90 degrees two-theta, by angle:
- (0 0 3), d 3.729, I = 38
- (1 0 1), d 3.385, I = 44
- (1 0 2), d 2.998, I = 100
- (1 0 3), d 2.572, I = 73
- (1 1 0), d 2.511, I = 93
- (1 1 1), d 2.450, I = 27
- (1 0 4), d 2.197, I = 100
- (1 1 3), d 2.083, I = 31
- (2 0 0), d 1.775, I = 32
- (2 1 2), d 1.528, I = 26
- (1 1 6), d 1.497, I = 28
- (2 1 4), d 1.381, I = 45

Structural model:
Lattice parameters (Å, degrees): 3.5510 3.5510 11.1875 90.00 90.00 90.00
Space group P4/mmm (No. 123)
Inequivalent atoms, fractional coordinates:
Rb  0.0000  0.0000  0.0000 [1 per cell]
Pm  0.5000  0.5000  0.3509 [2 per cell]
Ru  0.0000  0.0000  0.5000 [1 per cell]

---

This entry pairs a crystal structure of NdMg11Ag with its simulated powder XRD pattern. Radiation: Cu Kα (weighted mean of Kα1 and Kα2). Structure: a cell relaxed with PBE.

Top 12 peaks for 10 to 90 degrees two-theta, by angle:
- (0 2 0), d 7.244, I = 93
- (1 1 -1), d 4.998, I = 77
- (1 1 1), d 3.615, I = 90
- (1 3 -1), d 3.577, I = 44
- (0 2 2), d 3.233, I = 39
- (1 3 1), d 2.952, I = 58
- (0 4 2), d 2.558, I = 83
- (1 5 -1), d 2.545, I = 44
- (2 2 0), d 2.526, I = 100
- (2 2 -2), d 2.499, I = 50
- (0 8 0), d 1.811, I = 20
- (0 0 4), d 1.806, I = 16

Structural model:
Lattice parameters (Å, degrees): 5.7697 14.4887 7.7312 90.00 110.87 90.00
Space group C2/m (No. 12)
Inequivalent atoms, fractional coordinates:
Nd  0.0000  0.0000  0.0000 [2 per cell]
Mg  0.0000  0.0000  0.5000 [2 per cell]
Mg  0.1001  0.3956  0.2161 [8 per cell]
Mg  0.1822  0.1733  0.3563 [8 per cell]
Mg  0.2500  0.2500  0.0000 [4 per cell]
Ag  0.0000  0.5000  0.5000 [2 per cell]

---

This entry pairs a crystal structure of Ga2Pd3 with its simulated powder XRD pattern. Radiation: Cu Kα (weighted mean of Kα1 and Kα2). Structure: a cell relaxed with PBE.

Top 12 peaks for 10 to 90 degrees two-theta, by angle:
- (1 0 1), d 3.062, I = 6
- (0 0 6), d 2.562, I = 4
- (1 1 0), d 2.209, I = 54
- (1 0 5), d 2.191, I = 100
- (1 1 6), d 1.673, I = 4
- (2 0 0), d 1.562, I = 18
- (0 0 10), d 1.537, I = 7
- (1 0 11), d 1.276, I = 3
- (2 1 5), d 1.272, I = 33
- (1 1 10), d 1.262, I = 13
- (2 2 0), d 1.105, I = 6
- (2 0 10), d 1.096, I = 9

Structural model:
Lattice parameters (Å, degrees): 3.1241 3.1241 15.3711 90.00 90.00 90.00
Space group I4/mmm (No. 139)
Inequivalent atoms, fractional coordinates:
Ga  0.0000  0.0000  0.1035 [4 per cell]
Pd  0.0000  0.0000  0.3110 [4 per cell]
Pd  0.0000  0.0000  0.5000 [2 per cell]

---

This entry pairs a crystal structure of Li17LaMg with its simulated powder XRD pattern. Radiation: Cu Kα (weighted mean of Kα1 and Kα2). Structure: a cell relaxed with PBE.

Top 12 peaks for 10 to 90 degrees two-theta, by angle:
- (1 0 1), d 7.294, I = 100
- (0 1 2), d 5.602, I = 64
- (0 0 3), d 5.051, I = 25
- (1 1 0), d 4.804, I = 64
- (0 2 1), d 4.012, I = 30
- (2 0 2), d 3.647, I = 23
- (1 1 3), d 3.481, I = 68
- (1 0 4), d 3.448, I = 20
- (2 1 1), d 3.079, I = 30
- (1 2 2), d 2.905, I = 29
- (3 0 0), d 2.774, I = 26
- (3 0 3), d 2.431, I = 45

Structural model:
Lattice parameters (Å, degrees): 9.6085 9.6085 15.1523 90.00 90.00 120.00
Space group R3m (No. 160, hexagonal axes)
Inequivalent atoms, fractional coordinates:
Li  0.0000  0.0000  0.0503 [3 per cell]
Li  0.0000  0.0000  0.2317 [3 per cell]
Li  0.0336  0.3575  0.8109 [18 per cell]
Li  0.1849  0.3697  0.9837 [9 per cell]
Li  0.1915  0.3830  0.6207 [9 per cell]
Li  0.2034  0.4069  0.3333 [9 per cell]
La  0.0000  0.0000  0.4827 [3 per cell]
Mg  0.0000  0.0000  0.8211 [3 per cell]

---

Please write out number 4 again, unchanged.
This entry pairs a crystal structure of KCaHgF6 with its simulated powder XRD pattern. Radiation: Cu Kα (weighted mean of Kα1 and Kα2). Structure: a cell relaxed with PBE.

Top 12 peaks for 10 to 90 degrees two-theta, by angle:
- (1 0 1), d 6.542, I = 100
- (0 0 2), d 5.763, I = 44
- (1 2 1), d 3.539, I = 86
- (1 0 3), d 3.459, I = 26
- (0 2 2), d 3.398, I = 30
- (2 0 2), d 3.271, I = 44
- (1 2 3), d 2.672, I = 24
- (3 0 1), d 2.582, I = 16
- (3 2 1), d 2.200, I = 16
- (2 2 4), d 2.040, I = 29
- (3 2 3), d 1.936, I = 14
- (2 4 2), d 1.769, I = 15

Structural model:
Lattice parameters (Å, degrees): 7.9456 8.4142 11.5260 90.00 90.00 90.00
Space group Imma (No. 74)
Inequivalent atoms, fractional coordinates:
K  0.0000  0.2500  0.0579 [4 per cell]
Ca  0.2500  0.2500  0.7500 [4 per cell]
Hg  0.0000  0.0000  0.5000 [4 per cell]
F  0.0000  0.2500  0.4333 [4 per cell]
F  0.0000  0.2500  0.8329 [4 per cell]
F  0.2081  0.0510  0.6183 [16 per cell]

---

Copy entry 3 word for word.
This entry pairs a crystal structure of NaAg4F8 with its simulated powder XRD pattern. Radiation: Cu Kα (weighted mean of Kα1 and Kα2). Structure: a cell relaxed with PBE.

Top 12 peaks for 10 to 90 degrees two-theta, by angle:
- (0 0 3), d 5.217, I = 100
- (0 2 1), d 3.035, I = 59
- (2 0 2), d 2.877, I = 31
- (0 2 4), d 2.427, I = 71
- (2 0 5), d 2.200, I = 18
- (0 2 7), d 1.812, I = 20
- (2 2 0), d 1.786, I = 26
- (2 2 3), d 1.690, I = 26
- (2 0 8), d 1.653, I = 18
- (2 2 6), d 1.474, I = 10
- (4 0 4), d 1.438, I = 11
- (2 4 4), d 1.120, I = 9

Structural model:
Lattice parameters (Å, degrees): 7.1443 7.1443 15.6511 90.00 90.00 120.00
Space group R-3m (No. 166, hexagonal axes)
Inequivalent atoms, fractional coordinates:
Na  0.0000  0.0000  0.0000 [3 per cell]
Ag  0.0000  0.0000  0.5000 [3 per cell]
Ag  0.0000  0.5000  0.5000 [9 per cell]
F  0.0000  0.0000  0.2292 [6 per cell]
F  0.0305  0.5153  0.7637 [18 per cell]